(1)
# Sm2ZnCu4Ge3
Simulated powder diffractogram, copper Kα. Input: a DFT-relaxed cell (GGA-PBE, Alexandria).

Atomic structure:
a b c (Å): 4.123 4.123 10.251
angles (deg): 90.00 90.00 90.00
Fractional positions:
Sm 0.000 0.500 0.244
Sm 0.500 0.000 0.756
Zn 0.000 0.000 0.500
Cu 0.000 0.000 0.000
Cu 0.000 0.500 0.634
Cu 0.500 0.000 0.366
Cu 0.500 0.500 0.000
Ge 0.000 0.500 0.866
Ge 0.500 0.000 0.134
Ge 0.500 0.500 0.500

Main lines, by angle (10° ≤ 2θ ≤ 90°):
- 30.66 deg, d = 2.916 Å, intensity 18
- 34.08 deg, d = 2.631 Å, intensity 63
- 35.42 deg, d = 2.534 Å, intensity 100
- 43.92 deg, d = 2.062 Å, intensity 55
- 49.66 deg, d = 1.836 Å, intensity 30
- 56.73 deg, d = 1.623 Å, intensity 29
- 63.07 deg, d = 1.474 Å, intensity 11
- 63.85 deg, d = 1.458 Å, intensity 17
- 68.43 deg, d = 1.371 Å, intensity 22
- 75.19 deg, d = 1.264 Å, intensity 21

(2)
# Cu2Sn2Ge
Simulated powder diffractogram, copper Kα. Input: a DFT-relaxed cell (GGA-PBE, Alexandria).

Atomic structure:
a b c (Å): 8.380 8.380 8.380
angles (deg): 155.75 155.75 34.56
Fractional positions:
Cu 0.250 0.750 0.500
Cu 0.750 0.250 0.500
Sn 0.114 0.114 0.000
Sn 0.886 0.886 0.000
Ge 0.500 0.500 0.000

Main lines, by angle (10° ≤ 2θ ≤ 90°):
- 25.92 deg, d = 3.438 Å, intensity 35
- 30.42 deg, d = 2.938 Å, intensity 92
- 37.85 deg, d = 2.377 Å, intensity 71
- 38.00 deg, d = 2.368 Å, intensity 100
- 42.79 deg, d = 2.113 Å, intensity 74
- 45.33 deg, d = 2.001 Å, intensity 31
- 51.95 deg, d = 1.760 Å, intensity 49
- 66.15 deg, d = 1.413 Å, intensity 40
- 69.88 deg, d = 1.346 Å, intensity 26
- 71.38 deg, d = 1.321 Å, intensity 32

(3)
# SrCu4Ge2
Simulated powder diffractogram, copper Kα. Input: a DFT-relaxed cell (GGA-PBE, Alexandria).

Atomic structure:
a b c (Å): 6.721 6.721 6.721
angles (deg): 108.03 108.03 112.38
Fractional positions:
Sr 0.250 0.250 0.000
Sr 0.750 0.750 0.000
Cu 0.023 0.523 0.219
Cu 0.196 0.977 0.500
Cu 0.304 0.804 0.781
Cu 0.477 0.696 0.500
Cu 0.523 0.304 0.500
Cu 0.696 0.196 0.219
Cu 0.804 0.023 0.500
Cu 0.977 0.477 0.781
Ge 0.157 0.343 0.500
Ge 0.343 0.843 0.187
Ge 0.657 0.157 0.813
Ge 0.843 0.657 0.500

Main lines, by angle (10° ≤ 2θ ≤ 90°):
- 15.87 deg, d = 5.585 Å, intensity 16
- 28.73 deg, d = 3.107 Å, intensity 11
- 32.99 deg, d = 2.715 Å, intensity 16
- 35.96 deg, d = 2.497 Å, intensity 93
- 44.48 deg, d = 2.037 Å, intensity 100
- 45.97 deg, d = 1.974 Å, intensity 16
- 48.93 deg, d = 1.862 Å, intensity 13
- 55.87 deg, d = 1.646 Å, intensity 11
- 61.00 deg, d = 1.519 Å, intensity 10
- 75.16 deg, d = 1.264 Å, intensity 28

(4)
# SrCu6Ge2
Simulated powder diffractogram, copper Kα. Input: a DFT-relaxed cell (GGA-PBE, Alexandria).

Atomic structure:
a b c (Å): 4.278 4.278 7.852
angles (deg): 90.00 90.00 90.00
Fractional positions:
Sr 0.000 0.000 0.000
Cu 0.000 0.000 0.500
Cu 0.000 0.500 0.327
Cu 0.000 0.500 0.673
Cu 0.500 0.000 0.327
Cu 0.500 0.000 0.673
Cu 0.500 0.500 0.500
Ge 0.500 0.500 0.169
Ge 0.500 0.500 0.831

Main lines, by angle (10° ≤ 2θ ≤ 90°):
- 11.27 deg, d = 7.852 Å, intensity 32
- 30.92 deg, d = 2.892 Å, intensity 31
- 31.70 deg, d = 2.823 Å, intensity 24
- 37.54 deg, d = 2.396 Å, intensity 61
- 40.40 deg, d = 2.233 Å, intensity 30
- 42.25 deg, d = 2.139 Å, intensity 100
- 45.85 deg, d = 1.979 Å, intensity 82
- 61.29 deg, d = 1.512 Å, intensity 31
- 79.81 deg, d = 1.202 Å, intensity 29
- 87.36 deg, d = 1.116 Å, intensity 22

(5)
# SrTbCu2Ge2
Simulated powder diffractogram, copper Kα. Input: a DFT-relaxed cell (GGA-PBE, Alexandria).

Atomic structure:
a b c (Å): 4.339 4.339 7.857
angles (deg): 90.00 90.00 120.00
Fractional positions:
Sr 0.000 0.000 0.000
Tb 0.000 0.000 0.500
Cu 0.333 0.667 0.709
Cu 0.667 0.333 0.291
Ge 0.333 0.667 0.286
Ge 0.667 0.333 0.714

Main lines, by angle (10° ≤ 2θ ≤ 90°):
- 11.26 deg, d = 7.857 Å, intensity 28
- 23.68 deg, d = 3.758 Å, intensity 8
- 32.99 deg, d = 2.715 Å, intensity 100
- 41.63 deg, d = 2.169 Å, intensity 54
- 42.05 deg, d = 2.149 Å, intensity 10
- 46.22 deg, d = 1.964 Å, intensity 8
- 54.11 deg, d = 1.695 Å, intensity 24
- 63.94 deg, d = 1.456 Å, intensity 17
- 70.51 deg, d = 1.336 Å, intensity 21
- 75.98 deg, d = 1.253 Å, intensity 9

(6)
# SrTb2Cu2Ge2
Simulated powder diffractogram, copper Kα. Input: a DFT-relaxed cell (GGA-PBE, Alexandria).

Atomic structure:
a b c (Å): 9.889 9.889 9.889
angles (deg): 25.74 25.74 25.74
Fractional positions:
Sr 0.000 0.000 0.000
Tb 0.129 0.129 0.129
Tb 0.871 0.871 0.871
Cu 0.412 0.412 0.412
Cu 0.588 0.588 0.588
Ge 0.253 0.253 0.253
Ge 0.747 0.747 0.747

Main lines, by angle (10° ≤ 2θ ≤ 90°):
- 23.52 deg, d = 3.782 Å, intensity 30
- 26.47 deg, d = 3.368 Å, intensity 16
- 32.06 deg, d = 2.792 Å, intensity 91
- 34.33 deg, d = 2.612 Å, intensity 87
- 40.97 deg, d = 2.203 Å, intensity 100
- 52.95 deg, d = 1.729 Å, intensity 22
- 54.49 deg, d = 1.684 Å, intensity 23
- 64.56 deg, d = 1.444 Å, intensity 27
- 69.05 deg, d = 1.360 Å, intensity 19
- 70.38 deg, d = 1.338 Å, intensity 22